Starting from the PBE geometry in Alexandria, the X-ray diffraction stick pattern of Pm3ErS4 was simulated for Cu Kα X-rays.

```
Pm3ErS4
1.0
6.9597 0.0000 0.0000
0.0000 7.9267 0.0000
-2.2917 0.0000 6.5239
Pm Er S
6 2 8
Direct
0.0000 0.1229 0.2500
0.0000 0.3735 0.7500
0.0000 0.6265 0.2500
0.0000 0.8771 0.7500
0.5000 0.1237 0.7500
0.5000 0.8763 0.2500
0.5000 0.3735 0.2500
0.5000 0.6265 0.7500
0.2559 0.1312 0.0060
0.2559 0.8688 0.5060
0.2611 0.3808 0.4996
0.2611 0.6192 0.9996
0.7389 0.3808 0.0004
0.7389 0.6192 0.5004
0.7441 0.1312 0.4940
0.7441 0.8688 0.9940
```

Peak list (10 most intense, 15 to 90 degrees two-theta, in order of rising 2θ)
| h k l | 2theta | Rel. int. |
| --- | --- | --- |
| 2 0 0 | 27.2 | 30 |
| 0 0 2 | 27.3 | 29 |
| 1 2 -1 | 27.5 | 58 |
| 2 0 -2 | 31.6 | 51 |
| 1 2 1 | 31.7 | 100 |
| 2 0 2 | 45.3 | 55 |
| 1 2 -3 | 45.5 | 36 |
| 0 4 0 | 45.8 | 18 |
| 3 2 -3 | 53.8 | 24 |
| 2 4 -2 | 56.7 | 19 |